(1)
Ac2MnBe2O6: computed PXRD pattern (Cu Kα (λ = 1.5418 Å)), based on a crystal structure in Alexandria, relaxed with PBE+U.

Most intense lines, 5° ≤ 2θ ≤ 70°, by angle:
(1 0 0), 2θ = 18.26°, d = 4.859 Å, I = 22; (0 1 1), 2θ = 23.82°, d = 3.736 Å, I = 100; (0 0 2), 2θ = 30.60°, d = 2.921 Å, I = 18; (1 1 0), 2θ = 31.90°, d = 2.805 Å, I = 46; (1 0 2), 2θ = 35.87°, d = 2.504 Å, I = 24; (2 0 1), 2θ = 40.20°, d = 2.243 Å, I = 42; (2 -1 2), 2θ = 44.79°, d = 2.024 Å, I = 22; (0 2 2), 2θ = 48.75°, d = 1.868 Å, I = 12; (1 0 3), 2θ = 50.48°, d = 1.808 Å, I = 14; (1 2 1), 2θ = 52.21°, d = 1.752 Å, I = 30; (3 0 0), 2θ = 56.84°, d = 1.620 Å, I = 11; (0 2 3), 2θ = 60.97°, d = 1.520 Å, I = 11

Structural model:
```
11
Lattice="5.6109 0.0000 0.0000 -2.8055 4.8592 0.0000 0.0000 0.0000 5.8429" Properties=species:S:1:pos:R:3 pbc="T T T"
Ac 0.0000 3.2395 1.5103
Ac 2.8055 1.6197 4.3326
Mn 0.0000 0.0000 0.0000
Be 0.0000 3.2395 4.5293
Be 2.8055 1.6197 1.3136
O -0.4020 1.7723 4.5722
O -1.0696 4.3212 4.5722
O 1.3338 1.2343 1.2707
O 1.4717 3.6249 4.5722
O 3.8751 0.5380 1.2707
O 3.2075 3.0870 1.2707
```

(2)
Ac2MnBeO6: computed PXRD pattern (Cu Kα (λ = 1.5418 Å)), based on a crystal structure in Alexandria, relaxed with PBE+U.

Most intense lines, 5° ≤ 2θ ≤ 70°, by angle:
(1 0 1), 2θ = 22.26°, d = 3.994 Å, I = 68; (0 2 0), 2θ = 23.89°, d = 3.725 Å, I = 29; (0 0 2), 2θ = 31.15°, d = 2.871 Å, I = 27; (2 0 0), 2θ = 32.20°, d = 2.780 Å, I = 27; (1 2 1), 2θ = 32.88°, d = 2.724 Å, I = 100; (0 2 2), 2θ = 39.63°, d = 2.274 Å, I = 31; (2 2 0), 2θ = 40.49°, d = 2.228 Å, I = 30; (2 0 2), 2θ = 45.42°, d = 1.997 Å, I = 31; (2 2 2), 2θ = 51.95°, d = 1.760 Å, I = 16; (1 2 3), 2θ = 56.53°, d = 1.628 Å, I = 19; (3 2 1), 2θ = 57.85°, d = 1.594 Å, I = 21; (2 4 2), 2θ = 68.94°, d = 1.362 Å, I = 17

Structural model:
```
20
Lattice="5.5594 0.0000 0.0000 0.0000 7.4508 0.0000 0.0000 0.0000 5.7421" Properties=species:S:1:pos:R:3 pbc="T T T"
Ac 1.3898 0.0268 1.3248
Ac 1.3898 3.6986 1.3248
Ac 4.1695 3.7523 4.4173
Ac 4.1695 7.4240 4.4173
Mn 1.3898 1.8627 4.2331
Mn 4.1695 5.5881 1.5090
Be 1.3898 5.5881 3.7835
Be 4.1695 1.8627 1.9587
O 0.0076 5.5881 2.9020
O 0.0785 1.8627 5.5675
O 1.3898 3.8352 4.2800
O 1.3898 7.3410 4.2800
O 2.7012 1.8627 5.5675
O 2.7721 5.5881 2.9020
O 2.7872 1.8627 2.8401
O 2.8582 5.5881 0.1746
O 4.1695 0.1098 1.4622
O 4.1695 3.6156 1.4622
O 5.4809 5.5881 0.1746
O 5.5518 1.8627 2.8401
```